Diffraction record for V2CuHPd. The powder diffractogram is simulated, not measured: it uses a crystal structure in Alexandria, relaxed with GGA-PBE and Cu Kα, 1.54184 Å.

Top 8 peaks for 5° ≤ 2θ ≤ 70°, sorted by position:
(0 0 1), 3.979 Å, 2θ = 22.3°, intensity 9
(1 0 0), 3.753 Å, 2θ = 23.7°, intensity 4
(1 0 1), 2.730 Å, 2θ = 32.8°, intensity 4
(1 1 0), 2.654 Å, 2θ = 33.8°, intensity 7
(1 1 1), 2.208 Å, 2θ = 40.9°, intensity 100
(0 0 2), 1.990 Å, 2θ = 45.6°, intensity 18
(2 0 0), 1.876 Å, 2θ = 48.5°, intensity 30
(2 0 2), 1.365 Å, 2θ = 68.8°, intensity 20

Structure:
Lattice parameters (Å, degrees): 3.753 3.753 3.979 90.00 90.00 90.00
Space group P4/mmm (No. 123)
Unique sites:
V 0.000 0.500 0.000
Cu 0.000 0.000 0.500
H 0.000 0.000 0.000
Pd 0.500 0.500 0.500

Diffraction record for ZnCu2HPd. The powder diffractogram is simulated, not measured: it uses a crystal structure in Alexandria, relaxed with GGA-PBE and Cu Kα, 1.54184 Å.

Top 8 peaks for 5° ≤ 2θ ≤ 70°, sorted by position:
(0 0 1), 3.870 Å, 2θ = 23.0°, intensity 2
(1 0 0), 3.812 Å, 2θ = 23.3°, intensity 3
(1 0 1), 2.716 Å, 2θ = 33.0°, intensity 2
(1 1 1), 2.212 Å, 2θ = 40.8°, intensity 100
(0 0 2), 1.935 Å, 2θ = 47.0°, intensity 17
(2 0 0), 1.906 Å, 2θ = 47.7°, intensity 32
(2 0 2), 1.358 Å, 2θ = 69.2°, intensity 19
(2 2 0), 1.348 Å, 2θ = 69.8°, intensity 9

Structure:
Lattice parameters (Å, degrees): 3.812 3.812 3.870 90.00 90.00 90.00
Space group P4/mmm (No. 123)
Unique sites:
Zn 0.000 0.000 0.000
Cu 0.000 0.500 0.500
H 0.500 0.500 0.500
Pd 0.500 0.500 0.000